Starting from DFT lattice parameters and positions (PBE+U), the powder XRD pattern of CaMoAsO5 was simulated for λ = 1.5418 Å (Cu Kα).

```
data_CaMoAsO5
_chemical_formula_sum 'Ca2 Mo2 As2 O10'
_cell_length_a 5.7806
_cell_length_b 5.7806
_cell_length_c 7.4996
_cell_angle_alpha 103.78
_cell_angle_beta 103.78
_cell_angle_gamma 106.16
_symmetry_space_group_name_H-M 'P 1'
_symmetry_Int_Tables_number 1
loop_
_symmetry_equiv_pos_as_xyz
'x,y,z'
loop_
_atom_site_label
_atom_site_type_symbol
_atom_site_fract_x
_atom_site_fract_y
_atom_site_fract_z
_atom_site_occupancy
Ca1 Ca 0.1732 0.8268 0.7500 1
Ca2 Ca 0.8268 0.1732 0.2500 1
Mo1 Mo 0.5000 0.5000 0.0000 1
Mo2 Mo 0.5000 0.5000 0.5000 1
As1 As 0.1789 0.8211 0.2500 1
As2 As 0.8211 0.1789 0.7500 1
O1 O 0.1078 0.2324 0.9207 1
O2 O 0.1693 0.5993 0.3711 1
O3 O 0.2324 0.1078 0.4207 1
O4 O 0.4007 0.8307 0.1289 1
O5 O 0.4053 0.5947 0.7500 1
O6 O 0.5947 0.4053 0.2500 1
O7 O 0.5993 0.1693 0.8711 1
O8 O 0.7676 0.8922 0.5793 1
O9 O 0.8307 0.4007 0.6289 1
O10 O 0.8922 0.7676 0.0793 1
```

Most intense lines, 10 to 90 degrees two-theta, in order of rising 2θ:
- 25.9 deg, intensity 100
- 28.0 deg, intensity 80
- 32.3 deg, intensity 90
- 32.4 deg, intensity 71
- 35.6 deg, intensity 39
- 52.3 deg, intensity 30